# 1
The following is a theoretical X-ray diffraction stick pattern of Hf6GaTe. It was derived from a crystal structure in Alexandria, relaxed with GGA-PBE, using Cu Ka.
No peak broadening, texture or thermal motion is included.

Peak list (10 most intense, 10° ≤ 2θ ≤ 90°, by intensity)
2θ/deg  I/Imax  index
35.0  100  2 2 0
37.1  84  0 2 4
37.6  81  2 0 4
63.8  35  2 4 4
64.9  33  4 2 4
68.8  26  2 2 8
49.5  19  0 4 0
51.2  17  4 0 0
57.2  11  0 0 8
74.0  11  4 4 0

a b c (Å): 7.1340 7.3639 12.8872
angles (deg): 90.00 90.00 90.00
Space group Fmmm (No. 69)
Asymmetric unit:
Hf 0.0000 0.0000 0.2452 (multiplicity 8)
Hf 0.2500 0.2500 0.1190 (multiplicity 16)
Ga 0.0000 0.0000 0.0000 (multiplicity 4)
Te 0.0000 0.0000 0.5000 (multiplicity 4)

# 2
The following is a theoretical X-ray diffraction stick pattern of HfGaTe6. It was derived from a crystal structure in Alexandria, relaxed with GGA-PBE, using Cu Ka.
No peak broadening, texture or thermal motion is included.

Peak list (10 most intense, 10° ≤ 2θ ≤ 90°, by intensity)
2θ/deg  I/Imax  index
28.6  100  1 2 1
26.4  86  2 0 1
26.0  71  0 1 -1
28.5  62  0 1 2
37.6  61  -1 1 2
34.6  60  1 1 -1
15.9  60  0 0 1
31.2  54  -1 2 1
31.4  52  2 -1 1
41.6  48  2 -2 1

a b c (Å): 6.7986 6.9085 6.9618
angles (deg): 64.14 64.24 86.61
Space group P-1 (No. 2)
Asymmetric unit:
Hf 0.0000 0.0000 0.0000 (multiplicity 1)
Ga 0.5000 0.5000 0.0000 (multiplicity 1)
Te 0.1721 0.4422 0.8420 (multiplicity 2)
Te 0.3037 0.1002 0.5168 (multiplicity 2)
Te 0.3125 0.8213 0.1744 (multiplicity 2)

# 3
The following is a theoretical X-ray diffraction stick pattern of Hf6Ga2Te. It was derived from a crystal structure in Alexandria, relaxed with GGA-PBE, using Cu Ka.
No peak broadening, texture or thermal motion is included.

Peak list (10 most intense, 10° ≤ 2θ ≤ 90°, by intensity)
2θ/deg  I/Imax  index
36.5  100  0 0 2
37.0  57  2 3 0
53.0  20  2 3 2
35.4  18  0 3 1
67.0  14  1 6 1
66.0  13  1 3 3
65.7  12  3 0 3
23.2  11  1 1 1
44.3  10  3 3 0
78.8  9  4 6 0

a b c (Å): 8.5089 8.8665 4.9255
angles (deg): 90.00 90.00 90.00
Space group Pnnm (No. 58)
Asymmetric unit:
Hf 0.0041 0.1700 0.0000 (multiplicity 4)
Hf 0.1567 0.5942 0.5000 (multiplicity 4)
Hf 0.1672 0.9304 0.5000 (multiplicity 4)
Ga 0.1713 0.2563 0.5000 (multiplicity 4)
Te 0.0000 0.5000 0.0000 (multiplicity 2)

# 4
The following is a theoretical X-ray diffraction stick pattern of Hf2Ti5Ga3. It was derived from a crystal structure in Alexandria, relaxed with GGA-PBE, using Cu Ka.
No peak broadening, texture or thermal motion is included.

Peak list (10 most intense, 10° ≤ 2θ ≤ 90°, by intensity)
2θ/deg  I/Imax  index
37.4  100  2 0 2
31.9  96  2 4 0
34.3  77  3 2 1
42.1  71  0 4 2
22.6  68  1 2 1
26.1  46  0 4 0
36.4  40  4 0 0
44.0  36  1 6 1
40.6  35  4 1 1
56.9  28  4 4 2

a b c (Å): 9.8803 13.6627 5.5079
angles (deg): 90.00 90.00 90.00
Space group Ibam (No. 72)
Asymmetric unit:
Hf 0.2277 0.1296 0.0000 (multiplicity 8)
Ti 0.0000 0.3123 0.2500 (multiplicity 8)
Ti 0.0000 0.5000 0.2500 (multiplicity 4)
Ti 0.0707 0.1599 0.5000 (multiplicity 8)
Ga 0.0000 0.0000 0.2500 (multiplicity 4)
Ga 0.1963 0.4152 0.0000 (multiplicity 8)

# 5
The following is a theoretical X-ray diffraction stick pattern of Hf5TiGa5. It was derived from a crystal structure in Alexandria, relaxed with GGA-PBE, using Cu Ka.
No peak broadening, texture or thermal motion is included.

Peak list (10 most intense, 10° ≤ 2θ ≤ 90°, by intensity)
2θ/deg  I/Imax  index
37.5  100  0 2 2
39.0  58  2 0 -1
34.7  53  1 2 -1
34.3  46  1 2 0
38.4  39  1 2 1
39.5  32  1 2 -2
26.0  25  1 0 1
54.1  25  2 2 1
56.3  24  2 2 -3
37.7  21  1 0 -3

a b c (Å): 4.6223 6.4395 7.4561
angles (deg): 90.00 104.89 90.00
Space group P2/m (No. 10)
Asymmetric unit:
Hf 0.0000 0.0000 0.0000 (multiplicity 1)
Hf 0.3538 0.2365 0.7257 (multiplicity 4)
Ti 0.0000 0.5000 0.0000 (multiplicity 1)
Ga 0.1907 0.0000 0.3790 (multiplicity 2)
Ga 0.1912 0.5000 0.3821 (multiplicity 2)
Ga 0.5000 0.5000 0.0000 (multiplicity 1)

# 6
The following is a theoretical X-ray diffraction stick pattern of Hf3Ti2Ga2. It was derived from a crystal structure in Alexandria, relaxed with GGA-PBE, using Cu Ka.
No peak broadening, texture or thermal motion is included.

Peak list (10 most intense, 10° ≤ 2θ ≤ 90°, by intensity)
2θ/deg  I/Imax  index
32.2  100  1 1 -1
41.8  80  3 1 1
41.1  75  3 1 -2
37.0  75  6 0 -1
15.4  74  2 0 -1
37.4  58  2 0 2
42.3  42  4 0 -3
44.9  37  5 1 0
76.4  32  4 2 -3
27.2  30  2 0 -2

a b c (Å): 14.5983 3.0686 6.5613
angles (deg): 90.00 113.57 90.00
Space group C2/m (No. 12)
Asymmetric unit:
Hf 0.0000 0.0000 0.0000 (multiplicity 2)
Hf 0.2152 0.0000 0.2739 (multiplicity 4)
Ti 0.1217 0.0000 0.7728 (multiplicity 4)
Ga 0.0685 0.5000 0.3981 (multiplicity 4)

# 7
The following is a theoretical X-ray diffraction stick pattern of Hf5TiGa6. It was derived from a crystal structure in Alexandria, relaxed with GGA-PBE, using Cu Ka.
No peak broadening, texture or thermal motion is included.

Peak list (10 most intense, 10° ≤ 2θ ≤ 90°, by intensity)
2θ/deg  I/Imax  index
34.8  100  1 3 1
33.0  58  2 0 -2
48.4  40  3 3 -1
49.1  38  1 3 -3
39.1  38  2 0 2
51.4  17  4 0 0
52.8  15  0 0 4
25.0  15  2 0 0
33.2  14  1 3 -1
68.1  14  3 3 3

a b c (Å): 7.2114 9.3188 7.0360
angles (deg): 90.00 99.41 90.00
Space group C2/m (No. 12)
Asymmetric unit:
Hf 0.0000 0.0000 0.0000 (multiplicity 2)
Hf 0.0000 0.1714 0.5000 (multiplicity 4)
Hf 0.0000 0.3304 0.0000 (multiplicity 4)
Ti 0.0000 0.5000 0.5000 (multiplicity 2)
Ga 0.2443 0.5000 0.2573 (multiplicity 4)
Ga 0.2462 0.3415 0.7462 (multiplicity 8)

# 8
The following is a theoretical X-ray diffraction stick pattern of HfTi5Ga8. It was derived from a crystal structure in Alexandria, relaxed with GGA-PBE, using Cu Ka.
No peak broadening, texture or thermal motion is included.

Peak list (10 most intense, 10° ≤ 2θ ≤ 90°, by intensity)
2θ/deg  I/Imax  index
35.1  100  1 0 3
43.4  95  3 1 2
36.8  83  3 0 1
42.5  80  2 1 3
28.2  72  2 1 1
44.0  67  2 3 1
37.1  62  3 1 0
75.4  34  5 2 3
40.0  28  2 2 2
15.9  24  1 0 1

a b c (Å): 7.6712 7.6712 8.1271
angles (deg): 90.00 90.00 90.00
Space group I-4 (No. 82)
Asymmetric unit:
Hf 0.0000 0.0000 0.0000 (multiplicity 2)
Ti 0.0000 0.5000 0.7500 (multiplicity 2)
Ti 0.1238 0.6888 0.3372 (multiplicity 8)
Ga 0.0632 0.8407 0.6701 (multiplicity 8)
Ga 0.1221 0.6681 0.0125 (multiplicity 8)

# 9
The following is a theoretical X-ray diffraction stick pattern of Hf6TlGa. It was derived from a crystal structure in Alexandria, relaxed with GGA-PBE, using Cu Ka.
No peak broadening, texture or thermal motion is included.

Peak list (10 most intense, 10° ≤ 2θ ≤ 90°, by intensity)
2θ/deg  I/Imax  index
32.6  100  2 0 0
32.4  86  0 4 0
33.8  63  2 0 -2
38.5  63  1 3 -2
46.7  62  2 4 0
37.6  59  0 2 2
30.6  37  1 1 -2
47.6  35  2 4 -2
71.0  29  0 0 4
51.3  28  1 3 2

a b c (Å): 6.2573 11.0417 6.0562
angles (deg): 90.00 118.76 90.00
Space group C2/m (No. 12)
Asymmetric unit:
Hf 0.0009 0.2266 0.2567 (multiplicity 8)
Hf 0.0180 0.5000 0.2600 (multiplicity 4)
Tl 0.0000 0.0000 0.0000 (multiplicity 2)
Ga 0.0000 0.0000 0.5000 (multiplicity 2)

# 10
The following is a theoretical X-ray diffraction stick pattern of HfU3Ga12. It was derived from a crystal structure in Alexandria, relaxed with GGA-PBE, using Cu Ka.
No peak broadening, texture or thermal motion is included.

Peak list (10 most intense, 10° ≤ 2θ ≤ 90°, by intensity)
2θ/deg  I/Imax  index
36.9  100  1 1 4
42.8  33  2 0 0
62.2  32  2 2 0
21.0  31  1 0 0
29.9  27  1 1 0
74.5  26  3 1 4
42.9  16  0 0 8
74.7  12  1 1 12
53.1  12  2 1 4
78.5  11  2 2 8

a b c (Å): 4.2249 4.2249 16.8561
angles (deg): 90.00 90.00 90.00
Space group P4/mmm (No. 123)
Asymmetric unit:
Hf 0.0000 0.0000 0.0000 (multiplicity 1)
U 0.0000 0.0000 0.2445 (multiplicity 2)
U 0.0000 0.0000 0.5000 (multiplicity 1)
Ga 0.0000 0.5000 0.1198 (multiplicity 4)
Ga 0.0000 0.5000 0.3728 (multiplicity 4)
Ga 0.5000 0.5000 0.0000 (multiplicity 1)
Ga 0.5000 0.5000 0.2480 (multiplicity 2)
Ga 0.5000 0.5000 0.5000 (multiplicity 1)

# 11
The following is a theoretical X-ray diffraction stick pattern of HfVGa4. It was derived from a crystal structure in Alexandria, relaxed with GGA-PBE, using Cu Ka.
No peak broadening, texture or thermal motion is included.

Peak list (10 most intense, 10° ≤ 2θ ≤ 90°, by intensity)
2θ/deg  I/Imax  index
39.6  100  1 0 1
38.3  25  0 2 1
43.3  19  2 0 -1
28.6  17  1 1 0
59.1  14  2 2 0
78.5  11  1 4 1
55.2  10  0 2 2
76.8  10  3 0 0
26.8  10  0 1 1
70.0  8  1 2 2

a b c (Å): 4.1819 5.7652 4.5752
angles (deg): 90.00 117.10 90.00
Space group P2/m (No. 10)
Asymmetric unit:
Hf 0.0000 0.0000 0.0000 (multiplicity 1)
V 0.0000 0.5000 0.0000 (multiplicity 1)
Ga 0.3369 0.2662 0.6744 (multiplicity 4)

# 12
The following is a theoretical X-ray diffraction stick pattern of Hf3V2Ga6. It was derived from a crystal structure in Alexandria, relaxed with GGA-PBE, using Cu Ka.
No peak broadening, texture or thermal motion is included.

Peak list (10 most intense, 10° ≤ 2θ ≤ 90°, by intensity)
2θ/deg  I/Imax  index
40.8  100  0 4 0
40.9  96  2 2 1
40.3  72  0 2 3
34.7  60  1 3 0
28.5  45  1 2 1
35.0  45  1 2 2
42.0  43  1 3 2
33.3  39  2 0 0
38.5  35  1 0 3
66.3  26  1 5 3

a b c (Å): 5.3871 8.8385 7.7754
angles (deg): 90.00 90.00 90.00
Space group Pmmn (No. 59, origin choice 2)
Asymmetric unit:
Hf 0.2500 0.0285 0.1546 (multiplicity 4)
Hf 0.2500 0.7500 0.7160 (multiplicity 2)
V 0.0000 0.0000 0.5000 (multiplicity 4)
Ga 0.0092 0.7500 0.0372 (multiplicity 4)
Ga 0.2500 0.0609 0.7719 (multiplicity 4)
Ga 0.2500 0.2500 0.4364 (multiplicity 2)
Ga 0.2500 0.7500 0.3648 (multiplicity 2)